No. 1
For Ce3PaS4, a cell relaxed with GGA-PBE gives the simulated powder X-ray diffraction pattern in this record (Cu Kα).

Structure:
Cell: 6.901 7.979 6.883 Å, 90.00 109.56 90.00°
Space group P2/c (No. 13)
Asymmetric unit:
1 Ce 0.000 0.124 0.250 (multiplicity 2)
2 Ce 0.000 0.374 0.750 (multiplicity 2)
3 Ce 0.500 0.374 0.250 (multiplicity 2)
4 Pa 0.500 0.123 0.750 (multiplicity 2)
5 S 0.253 0.372 0.503 (multiplicity 4)
6 S 0.255 0.123 0.000 (multiplicity 4)

Largest 10 diffraction maxima, most intense first, 2θ = 10–90°:
Position (°2θ)  Rel. int.
31.78  100
27.41  62
45.50  36
45.62  36
53.98  31
27.50  20
56.57  19
75.42  16
75.60  16
66.41  12

No. 2
For Ce2Pa3S8, a cell relaxed with GGA-PBE gives the simulated powder X-ray diffraction pattern in this record (Cu Kα).

Structure:
Cell: 9.421 13.443 4.748 Å, 90.00 90.00 90.00°
Space group Cmmm (No. 65)
Asymmetric unit:
1 Ce 0.000 0.233 0.000 (multiplicity 4)
2 Pa 0.000 0.500 0.000 (multiplicity 2)
3 Pa 0.232 0.000 0.500 (multiplicity 4)
4 S 0.000 0.122 0.500 (multiplicity 4)
5 S 0.000 0.385 0.500 (multiplicity 4)
6 S 0.240 0.381 0.000 (multiplicity 8)

Largest 10 diffraction maxima, most intense first, 2θ = 10–90°:
Position (°2θ)  Rel. int.
37.95  100
13.17  32
26.66  32
22.93  26
23.06  24
21.98  22
68.46  20
38.21  19
26.52  16
29.84  15

What did the first record say?
For Ce3PaS4, a cell relaxed with GGA-PBE gives the simulated powder X-ray diffraction pattern in this record (Cu Kα).

Structure:
Cell: 6.901 7.979 6.883 Å, 90.00 109.56 90.00°
Space group P2/c (No. 13)
Asymmetric unit:
1 Ce 0.000 0.124 0.250 (multiplicity 2)
2 Ce 0.000 0.374 0.750 (multiplicity 2)
3 Ce 0.500 0.374 0.250 (multiplicity 2)
4 Pa 0.500 0.123 0.750 (multiplicity 2)
5 S 0.253 0.372 0.503 (multiplicity 4)
6 S 0.255 0.123 0.000 (multiplicity 4)

Largest 10 diffraction maxima, most intense first, 2θ = 10–90°:
Position (°2θ)  Rel. int.
31.78  100
27.41  62
45.50  36
45.62  36
53.98  31
27.50  20
56.57  19
75.42  16
75.60  16
66.41  12